For Y2VPbO6, the GGA+U geometry in Alexandria gives the computed PXRD pattern in this record (copper Kα).

Structural model:
```
Y2VPbO6
1.0
5.4143 0.0000 0.0000
0.0000 5.4143 0.0000
0.0000 0.0000 5.6012
Y V Pb O
2 1 1 6
direct
0.0000 0.5000 0.0000
0.5000 0.0000 0.0000
0.0000 0.0000 0.6498
0.5000 0.5000 0.5629
0.0000 0.0000 0.3347
0.2303 0.2303 0.7944
0.2303 0.7697 0.7944
0.5000 0.5000 0.1507
0.7697 0.2303 0.7944
0.7697 0.7697 0.7944
```

Top 12 peaks for 10° ≤ 2θ ≤ 80°, low angle first:
2θ/deg	I/Imax
15.82	15.4
16.37	20.8
22.84	20.1
28.23	100.0
33.09	32.3
36.11	14.5
39.88	9.9
40.59	10.1
46.67	25.9
47.50	19.4
49.78	10.1
56.18	29.0